For NaFe5O8, DFT lattice parameters and positions (PBE+U) gives the calculated X-ray diffraction stick pattern in this record (λ = 1.5418 Å (Cu Kα)).

Main lines, most intense first (2θ from 15° to 90°):
- 2θ 35.06, I 100
- 2θ 34.94, I 96
- 2θ 29.49, I 65
- 2θ 61.85, I 57
- 2θ 34.69, I 50
- 2θ 61.21, I 48
- 2θ 17.85, I 46
- 2θ 42.41, I 45

Structural model:
```
NaFe5O8
1.0
3.0000 1.7321 4.9692
-3.0000 1.7321 4.9692
0.0000 -3.4641 4.9692
Na Fe O
1 5 8
Direct
0.0000 0.0000 0.0000
0.0000 0.0000 0.5000
0.0000 0.5000 0.0000
0.3862 0.3862 0.3862
0.5000 0.0000 0.0000
0.6138 0.6138 0.6138
0.2215 0.7411 0.7411
0.2567 0.2567 0.2567
0.2589 0.2589 0.7785
0.2589 0.7785 0.2589
0.7411 0.2215 0.7411
0.7411 0.7411 0.2215
0.7433 0.7433 0.7433
0.7785 0.2589 0.2589
```